For Tb8GaSn2, DFT lattice parameters and positions (GGA-PBE) gives the computed X-ray powder pattern in this record (Cu Kα (λ = 1.5418 Å)).
Lines closer than 0.1° are merged.

Peak list (8 most intense, 5 to 70 degrees two-theta, in order of rising 2θ)
28.3°, I = 42.7; 29.7°, I = 80.7; 32.0°, I = 100.0; 32.8°, I = 28.1; 34.0°, I = 35.3; 35.4°, I = 72.3; 37.5°, I = 40.5; 64.2°, I = 27.8

Cell and atoms:
Cell: 9.9862 9.9862 6.7357 Å, 103.91 103.91 29.41°
Element x y z (fractional)
Tb: 0.0186 0.0186 0.2765
Tb: 0.2161 0.2161 0.8198
Tb: 0.3468 0.3468 0.5003
Tb: 0.4091 0.4091 0.0300
Tb: 0.5909 0.5909 0.9700
Tb: 0.6532 0.6532 0.4997
Tb: 0.7839 0.7839 0.1802
Tb: 0.9814 0.9814 0.7235
Ga: 0.5000 0.5000 0.5000
Sn: 0.1804 0.1804 0.2567
Sn: 0.8196 0.8196 0.7433